This entry pairs a crystal structure of PmSm5Tm3 with its theoretical powder X-ray diffraction pattern. Radiation: copper Kα. Structure: DFT lattice parameters and positions (PBE).
Intensities are scaled so that the largest is 100.

Cell and atoms:
a = 18.364 Å, b = 6.375 Å, c = 11.315 Å
α = 90.00°, β = 111.75°, γ = 90.00°
Space group C2/c (No. 15)
One atom of each set of equivalent atoms:
Pm 0.000 0.138 0.250 [4 per cell]
Sm 0.000 0.391 0.750 [4 per cell]
Sm 0.160 0.311 0.517 [8 per cell]
Sm 0.169 0.288 0.209 [8 per cell]
Tm 0.000 0.000 0.000 [4 per cell]
Tm 0.169 0.175 0.876 [8 per cell]

Principal peaks in the range 2θ from 5° to 70°, in order of rising 2θ:
2θ (°)  I_rel  h k l
23.97  19  1 1 2
28.19  27  3 1 -3
29.93  23  2 2 0
31.23  58  1 1 3
31.47  79  6 0 0
32.25  100  5 1 -3
34.26  33  4 2 -1
35.15  16  4 2 0
55.18  21  7 1 3
57.18  17  11 1 -3